# Pr5Cl12
Calculated powder X-ray diffraction pattern, λ = 1.5418 Å (Cu Kα). Input: a structure optimized by DFT (GGA-PBE).
No peak broadening, texture or thermal motion is included.

Peak list (8 most intense, 5 to 70 degrees two-theta, sorted by position)
2θ/deg, I/Imax
12.49, 40
21.72, 100
26.08, 64
31.69, 28
34.19, 97
38.09, 63
40.87, 87
61.82, 34

Structure:
```
data_Pr5Cl12
_chemical_formula_sum 'Pr15 Cl36'
_space_group_name_H-M_alt 'P -3'
_space_group_IT_number 147
_cell_length_a 8.1836
_cell_length_b 8.1836
_cell_length_c 23.4004
_cell_angle_alpha 90.00
_cell_angle_beta 90.00
_cell_angle_gamma 120.00
loop_
_space_group_symop_operation_xyz
'x,y,z'
'-x,-y,-z'
'-y,x-y,z'
'y,-x+y,-z'
'-x+y,-x,z'
'x-y,x,-z'
loop_
_atom_site_label
_atom_site_type_symbol
_atom_site_fract_x
_atom_site_fract_y
_atom_site_fract_z
Pr1 Pr 0.0000 0.0000 0.0000
Pr2 Pr 0.0000 0.0000 0.1471
Pr3 Pr 0.3333 0.6667 0.1223
Pr4 Pr 0.3333 0.6667 0.2855
Pr5 Pr 0.3333 0.6667 0.4558
Pr6 Pr 0.3333 0.6667 0.6287
Pr7 Pr 0.3333 0.6667 0.7965
Pr8 Pr 0.3333 0.6667 0.9621
Cl1 Cl 0.0742 0.6961 0.0403
Cl2 Cl 0.0785 0.6929 0.8786
Cl3 Cl 0.0817 0.7128 0.2012
Cl4 Cl 0.0879 0.6850 0.7144
Cl5 Cl 0.0984 0.6965 0.3710
Cl6 Cl 0.1017 0.6949 0.5428
```

# La4Ho4Tm
Calculated powder X-ray diffraction pattern, λ = 1.5418 Å (Cu Kα). Input: a structure optimized by DFT (GGA-PBE).
No peak broadening, texture or thermal motion is included.

Peak list (8 most intense, 5 to 70 degrees two-theta, sorted by position)
2θ/deg, I/Imax
30.26, 100
34.99, 17
35.13, 34
50.43, 24
50.53, 12
59.86, 14
60.04, 29
62.94, 12

Structure:
```
data_La4Ho4Tm
_chemical_formula_sum 'La8 Ho8 Tm2'
_space_group_name_H-M_alt 'I 4/m m m'
_space_group_IT_number 139
_space_group_name_Hall '-I 4 2'
_cell_length_a 10.8378
_cell_length_b 10.8378
_cell_length_c 5.1282
_cell_angle_alpha 90.00
_cell_angle_beta 90.00
_cell_angle_gamma 90.00
loop_
_atom_site_label
_atom_site_type_symbol
_atom_site_fract_x
_atom_site_fract_y
_atom_site_fract_z
La1 La 0.1669 0.1669 0.0000
Ho1 Ho 0.0000 0.3360 0.5000
Tm1 Tm 0.0000 0.0000 0.5000
```

# Cd6InSn
Calculated powder X-ray diffraction pattern, λ = 1.5418 Å (Cu Kα). Input: a structure optimized by DFT (GGA-PBE).
No peak broadening, texture or thermal motion is included.

Peak list (7 most intense, 5 to 70 degrees two-theta, sorted by position)
2θ/deg, I/Imax
33.90, 100
38.43, 18
39.80, 32
56.52, 22
57.55, 10
66.62, 13
68.50, 24

Structure:
```
data_Cd6InSn
_chemical_formula_sum 'Cd6 In1 Sn1'
_space_group_name_H-M_alt 'P 4/m m m'
_space_group_IT_number 123
_space_group_name_Hall '-P 4 2'
_cell_length_a 6.4060
_cell_length_b 6.4060
_cell_length_c 4.6853
_cell_angle_alpha 90.00
_cell_angle_beta 90.00
_cell_angle_gamma 90.00
loop_
_atom_site_label
_atom_site_type_symbol
_atom_site_fract_x
_atom_site_fract_y
_atom_site_fract_z
Cd1 Cd 0.0000 0.5000 0.0000
Cd2 Cd 0.2501 0.2501 0.5000
In1 In 0.0000 0.0000 0.0000
Sn1 Sn 0.5000 0.5000 0.0000
```

# AlS2NCl4
Calculated powder X-ray diffraction pattern, λ = 1.5418 Å (Cu Kα). Input: a structure optimized by DFT (GGA-PBE).
No peak broadening, texture or thermal motion is included.

Peak list (8 most intense, 5 to 70 degrees two-theta, sorted by position)
2θ/deg, I/Imax
19.10, 100
23.61, 39
27.98, 35
28.87, 34
29.29, 71
29.82, 35
35.18, 32
48.31, 30

Structure:
```
data_AlS2NCl4
_chemical_formula_sum 'Al4 S8 N4 Cl16'
_space_group_name_H-M_alt 'P n m a'
_space_group_IT_number 62
_cell_length_a 11.8060
_cell_length_b 7.5359
_cell_length_c 10.8800
_cell_angle_alpha 90.00
_cell_angle_beta 90.00
_cell_angle_gamma 90.00
loop_
_space_group_symop_operation_xyz
'x,y,z'
'-x,-y,-z'
'-x+1/2,-y,z+1/2'
'x+1/2,y,-z+1/2'
'x+1/2,-y+1/2,-z+1/2'
'-x+1/2,y+1/2,z+1/2'
'-x,y+1/2,-z'
'x,-y+1/2,z'
loop_
_atom_site_label
_atom_site_type_symbol
_atom_site_fract_x
_atom_site_fract_y
_atom_site_fract_z
Al1 Al 0.1093 0.2500 0.2026
S1 S 0.1279 0.2500 0.8426
S2 S 0.1454 0.2500 0.5673
N1 N 0.1378 0.2500 0.7052
Cl1 Cl 0.0352 0.7500 0.9187
Cl2 Cl 0.1098 0.0193 0.3205
Cl3 Cl 0.2398 0.7500 0.5900
```

# Ba3PO
Calculated powder X-ray diffraction pattern, λ = 1.5418 Å (Cu Kα). Input: a structure optimized by DFT (GGA-PBE).
No peak broadening, texture or thermal motion is included.

Peak list (8 most intense, 5 to 70 degrees two-theta, sorted by position)
2θ/deg, I/Imax
16.64, 23
23.62, 10
29.03, 100
33.64, 59
37.76, 12
48.32, 42
57.36, 44
60.17, 14

Structure:
```
data_Ba3PO
_chemical_formula_sum 'Ba3 P1 O1'
_space_group_name_H-M_alt 'P m -3 m'
_space_group_IT_number 221
_space_group_name_Hall '-P 4 2 3'
_cell_length_a 5.3278
_cell_length_b 5.3278
_cell_length_c 5.3278
_cell_angle_alpha 90.00
_cell_angle_beta 90.00
_cell_angle_gamma 90.00
loop_
_atom_site_label
_atom_site_type_symbol
_atom_site_fract_x
_atom_site_fract_y
_atom_site_fract_z
Ba1 Ba 0.0000 0.0000 0.5000
P1 P 0.5000 0.5000 0.5000
O1 O 0.0000 0.0000 0.0000
```

# Tc2NiIr2Rh2
Calculated powder X-ray diffraction pattern, λ = 1.5418 Å (Cu Kα). Input: a structure optimized by DFT (GGA-PBE).
No peak broadening, texture or thermal motion is included.

Peak list (8 most intense, 5 to 70 degrees two-theta, sorted by position)
2θ/deg, I/Imax
28.31, 29
36.55, 44
39.36, 19
41.55, 58
42.76, 100
43.91, 76
49.74, 32
56.51, 25

Structure:
```
data_Tc2NiIr2Rh2
_chemical_formula_sum 'Tc4 Ni2 Ir4 Rh4'
_space_group_name_H-M_alt 'C 1 2/m 1'
_space_group_IT_number 12
_cell_length_a 10.3126
_cell_length_b 4.3474
_cell_length_c 4.6848
_cell_angle_alpha 90.00
_cell_angle_beta 104.13
_cell_angle_gamma 90.00
loop_
_space_group_symop_operation_xyz
'x,y,z'
'-x,-y,-z'
'-x,y,-z'
'x,-y,z'
'x+1/2,y+1/2,z'
'-x+1/2,-y+1/2,-z'
'-x+1/2,y+1/2,-z'
'x+1/2,-y+1/2,z'
loop_
_atom_site_label
_atom_site_type_symbol
_atom_site_fract_x
_atom_site_fract_y
_atom_site_fract_z
Tc1 Tc 0.2459 0.0000 0.3323
Ni1 Ni 0.0000 0.5000 0.5000
Ir1 Ir 0.1253 0.5000 0.1006
Rh1 Rh 0.0972 0.0000 0.7489
```

# Nd3Y8
Calculated powder X-ray diffraction pattern, λ = 1.5418 Å (Cu Kα). Input: a structure optimized by DFT (GGA-PBE).
No peak broadening, texture or thermal motion is included.

Peak list (8 most intense, 5 to 70 degrees two-theta, sorted by position)
2θ/deg, I/Imax
30.37, 100
30.56, 33
35.27, 67
50.61, 24
50.86, 23
60.18, 14
60.29, 27
60.51, 14

Structure:
```
data_Nd3Y8
_chemical_formula_sum 'Nd9 Y24'
_space_group_name_H-M_alt 'R -3 m'
_space_group_IT_number 166
_space_group_name_Hall '-R 3 2"'
_cell_length_a 3.6070
_cell_length_b 3.6070
_cell_length_c 96.5239
_cell_angle_alpha 90.00
_cell_angle_beta 90.00
_cell_angle_gamma 120.00
loop_
_atom_site_label
_atom_site_type_symbol
_atom_site_fract_x
_atom_site_fract_y
_atom_site_fract_z
Nd1 Nd 0.0000 0.0000 0.0000
Nd2 Nd 0.0000 0.0000 0.2724
Y1 Y 0.0000 0.0000 0.0915
Y2 Y 0.0000 0.0000 0.1817
Y3 Y 0.0000 0.0000 0.3638
Y4 Y 0.0000 0.0000 0.4549
```

# LiTlAgCl4
Calculated powder X-ray diffraction pattern, λ = 1.5418 Å (Cu Kα). Input: a structure optimized by DFT (GGA-PBE).
No peak broadening, texture or thermal motion is included.

Peak list (8 most intense, 5 to 70 degrees two-theta, sorted by position)
2θ/deg, I/Imax
21.76, 95
21.94, 100
24.98, 53
34.69, 32
37.19, 45
38.28, 40
38.66, 38
42.18, 36

Structure:
```
data_LiTlAgCl4
_chemical_formula_sum 'Li2 Tl2 Ag2 Cl8'
_space_group_name_H-M_alt 'P 1 21/m 1'
_space_group_IT_number 11
_cell_length_a 6.5899
_cell_length_b 7.1300
_cell_length_c 7.5130
_cell_angle_alpha 90.00
_cell_angle_beta 90.70
_cell_angle_gamma 90.00
loop_
_space_group_symop_operation_xyz
'x,y,z'
'-x,-y,-z'
'-x,y+1/2,-z'
'x,-y+1/2,z'
loop_
_atom_site_label
_atom_site_type_symbol
_atom_site_fract_x
_atom_site_fract_y
_atom_site_fract_z
Li1 Li 0.1974 0.2500 0.3550
Tl1 Tl 0.2813 0.2500 0.9297
Ag1 Ag 0.3002 0.7500 0.5570
Cl1 Cl 0.0269 0.2500 0.6221
Cl2 Cl 0.0821 0.7500 0.8425
Cl3 Cl 0.4348 0.0062 0.2782
```